# Pm5Pr2Dy4
Computed X-ray diffraction stick pattern, Cu Kα. Input: a crystal structure in Alexandria, relaxed with PBE.

Cell and atoms:
Lattice parameters (Å, degrees): 3.5463 9.1979 23.6241 90.00 90.00 90.00
Space group Immm (No. 71)
One atom of each set of equivalent atoms:
Pm 0.0000 0.0000 0.0000 x2
Pm 0.0000 0.3029 0.3572 x8
Pr 0.0000 0.5000 0.2319 x4
Dy 0.0000 0.1880 0.5000 x4
Dy 0.0000 0.5000 0.0964 x4

Peak list (10 most intense, 5 to 70 degrees two-theta, in order of rising 2θ)
- 28.00°, I = 35
- 29.87°, I = 50
- 30.27°, I = 35
- 31.31°, I = 65
- 32.10°, I = 100
- 35.44°, I = 35
- 36.76°, I = 46
- 41.85°, I = 32
- 60.71°, I = 29
- 61.54°, I = 29

# Sm6ScAg5
Computed X-ray diffraction stick pattern, Cu Kα. Input: a crystal structure in Alexandria, relaxed with PBE.

Cell and atoms:
Lattice parameters (Å, degrees): 5.2704 7.4005 8.4659 90.00 108.21 90.00
Space group P2/m (No. 10)
One atom of each set of equivalent atoms:
Sm 0.0000 0.2365 0.0000 x2
Sm 0.3278 0.2542 0.6566 x4
Sc 0.5000 0.5000 0.0000 x1
Ag 0.1479 0.5000 0.2953 x2
Ag 0.1693 0.0000 0.3371 x2
Ag 0.5000 0.0000 0.0000 x1

Peak list (10 most intense, 5 to 70 degrees two-theta, in order of rising 2θ)
- 23.67°, I = 4
- 24.05°, I = 2
- 25.21°, I = 1
- 33.43°, I = 20
- 34.00°, I = 100
- 48.44°, I = 14
- 49.25°, I = 7
- 60.12°, I = 13
- 60.86°, I = 21
- 61.21°, I = 7

# CsPH4N2O2
Computed X-ray diffraction stick pattern, Cu Kα. Input: a crystal structure in Alexandria, relaxed with PBE.

Cell and atoms:
Lattice parameters (Å, degrees): 5.6761 5.6761 15.8634 90.00 90.00 90.00
Space group P4_32_12 (No. 96)
One atom of each set of equivalent atoms:
Cs 0.1382 0.1382 0.0000 x4
P 0.0938 0.9062 0.2500 x4
H 0.0293 0.3785 0.4411 x8
H 0.2187 0.2285 0.6117 x8
N 0.1290 0.7023 0.1724 x8
O 0.1402 0.1431 0.2088 x8

Peak list (10 most intense, 5 to 70 degrees two-theta, in order of rising 2θ)
- 16.59°, I = 49
- 22.15°, I = 50
- 22.42°, I = 100
- 22.86°, I = 91
- 24.86°, I = 70
- 27.91°, I = 54
- 32.04°, I = 96
- 35.87°, I = 52
- 42.27°, I = 50
- 42.75°, I = 50

# Ce2RhS5
Computed X-ray diffraction stick pattern, Cu Kα. Input: a crystal structure in Alexandria, relaxed with PBE.

Cell and atoms:
Lattice parameters (Å, degrees): 7.7229 10.5461 3.8728 90.00 90.00 90.00
Space group Pbam (No. 55)
One atom of each set of equivalent atoms:
Ce 0.0908 0.1757 0.0000 x4
Rh 0.0000 0.5000 0.5000 x2
S 0.0000 0.0000 0.5000 x2
S 0.1345 0.7048 0.5000 x4
S 0.1786 0.4443 0.0000 x4

Peak list (10 most intense, 5 to 70 degrees two-theta, in order of rising 2θ)
- 23.01°, I = 44
- 24.55°, I = 39
- 27.11°, I = 50
- 27.89°, I = 71
- 28.60°, I = 34
- 33.87°, I = 100
- 36.43°, I = 37
- 37.03°, I = 50
- 46.92°, I = 31
- 50.68°, I = 28